Calculated powder XRD pattern
Compound: ScNb2S5
Radiation: a wavelength of 1.5418 Å
Structure: the PBE geometry in Alexandria

Peak list (10 most intense, 10° ≤ 2θ ≤ 90°, in order of rising 2θ)
d [Å]	I/Imax
6.624	100
3.098	11
2.585	26
2.298	11
2.215	7
2.171	11
2.100	6
2.038	24
1.737	7
1.271	5

Cell and atoms:
```
data_ScNb2S5
_chemical_formula_sum 'Sc4 Nb8 S20'
_cell_length_a 4.5970
_cell_length_b 13.2396
_cell_length_c 13.2893
_cell_angle_alpha 90.00
_cell_angle_beta 90.00
_cell_angle_gamma 90.00
_space_group_name_H-M_alt 'F m m m'
_space_group_IT_number 69
_space_group_name_Hall '-F 2 2'
loop_
_atom_site_label
_atom_site_fract_x
_atom_site_fract_y
_atom_site_fract_z
_atom_site_occupancy
Sc1 0.0000 0.0000 0.0000 1
Nb1 0.0000 0.0000 0.3139 1
S1 0.0000 0.0000 0.5000 1
S2 0.0000 0.1148 0.1674 1
```